# Na3Co5O10
Computed PXRD pattern, copper Kα. Input: a GGA+U-relaxed structure.
Kinematic intensities with the Lorentz-polarization factor, no thermal factor.

Cell and atoms:
```
data_Na3Co5O10
_chemical_formula_sum 'Na6 Co10 O20'
_cell_length_a 5.8315
_cell_length_b 7.7097
_cell_length_c 9.8922
_cell_angle_alpha 105.31
_cell_angle_beta 106.78
_cell_angle_gamma 95.62
_space_group_name_H-M_alt 'P 1'
_space_group_IT_number 1
_space_group_name_Hall 'P 1'
loop_
_atom_site_label
_atom_site_fract_x
_atom_site_fract_y
_atom_site_fract_z
Na1 0.0000 0.0000 0.0000
Na2 0.0907 0.3982 0.0959
Na3 0.3947 0.5983 0.3928
Na4 0.4866 0.9968 0.4964
Na5 0.5930 0.3981 0.5958
Na6 0.8971 0.6016 0.8970
Co1 0.0528 0.9972 0.5877
Co2 0.1714 0.3995 0.6820
Co3 0.2954 0.7991 0.7802
Co4 0.3824 0.2102 0.8839
Co5 0.4762 0.6016 0.9830
Co6 0.5647 0.0025 0.0815
Co7 0.6683 0.4021 0.1803
Co8 0.7799 0.7979 0.2762
Co9 0.8743 0.1989 0.3749
Co10 0.9644 0.5939 0.4758
O1 0.0461 0.9992 0.3789
O2 0.1054 0.0136 0.7862
O3 0.1439 0.3974 0.4678
O4 0.1987 0.4056 0.8888
O5 0.2432 0.7826 0.5698
O6 0.2862 0.7956 0.9741
O7 0.3574 0.2053 0.6839
O8 0.3828 0.2146 0.0744
O9 0.4769 0.5955 0.7868
O10 0.4993 0.6040 0.1821
O11 0.5634 0.0184 0.8928
O12 0.6036 0.9962 0.2775
O13 0.6561 0.4056 0.9862
O14 0.6916 0.3986 0.3777
O15 0.7619 0.7928 0.0835
O16 0.7764 0.7864 0.4673
O17 0.8497 0.2057 0.1821
O18 0.8641 0.1970 0.5602
O19 0.9521 0.5970 0.2828
O20 0.9769 0.5888 0.6661
```

The 8 most intense peaks (10° ≤ 2θ ≤ 90°), low angle first:
2theta  I/Imax  h k l
15.93  100.0  1 0 -1
32.18  13.1  2 0 -2
36.13  13.1  0 3 -2
37.22  23.2  1 2 1
38.00  11.1  0 1 -4
44.91  33.5  2 -3 0
45.93  15.5  1 1 -5
64.76  10.6  1 -4 5